The following is a theoretical XRD peak list of Ta3SbP6O24. It was derived from a cell relaxed with GGA-PBE, using Cu Kα X-rays.
Kinematic intensities with the Lorentz-polarization factor, no thermal factor.

Largest 10 diffraction maxima, low angle first, 2θ from 15° to 90°:
2theta  intensity
19.48  100
19.98  84
23.23  28
28.05  56
31.11  39
34.68  37
34.97  28
45.41  21
51.15  20
54.65  20

Atomic structure:
```
data_Ta3SbP6O24
_cell_length_a 8.8872
_cell_length_b 8.8872
_cell_length_c 22.6229
_cell_angle_alpha 90.00
_cell_angle_beta 90.00
_cell_angle_gamma 120.00
_space_group_name_H-M_alt 'R 3'
_space_group_IT_number 146
_space_group_name_Hall 'R 3'
loop_
_atom_site_label
_atom_site_fract_x
_atom_site_fract_y
_atom_site_fract_z
Ta1 0.0000 0.0000 0.0000
Ta2 0.0000 0.0000 0.2151
Ta3 0.0000 0.0000 0.7133
Sb1 0.0000 0.0000 0.4960
P1 0.0452 0.6701 0.2740
P2 0.0611 0.3782 0.7730
O1 0.0011 0.8097 0.9560
O2 0.0356 0.8398 0.2654
O3 0.0468 0.8148 0.5514
O4 0.0491 0.1977 0.7649
O5 0.1434 0.4499 0.1064
O6 0.1636 0.4860 0.7190
O7 0.1693 0.7016 0.3273
O8 0.1696 0.4675 0.8297
```